Structure and theoretical XRD peak list of TbNd2Ni2B2C3 (a GGA-PBE-relaxed structure; λ = 1.5418 Å (Cu Kα)).
No peak broadening, texture or thermal motion is included.

Cell and atoms:
```
data_TbNd2Ni2B2C3
_chemical_formula_sum 'Tb1 Nd2 Ni2 B2 C3'
_space_group_name_H-M_alt 'P 1'
_space_group_IT_number 1
_cell_length_a 10.5892
_cell_length_b 10.5892
_cell_length_c 10.5892
_cell_angle_alpha 159.92
_cell_angle_beta 159.92
_cell_angle_gamma 28.55
loop_
_space_group_symop_operation_xyz
'x,y,z'
loop_
_atom_site_label
_atom_site_type_symbol
_atom_site_fract_x
_atom_site_fract_y
_atom_site_fract_z
_atom_site_occupancy
Tb1 Tb 0.0000 0.0000 0.0000 1
Nd1 Nd 0.3751 0.3751 0.0000 1
Nd2 Nd 0.6249 0.6249 0.0000 1
Ni1 Ni 0.2500 0.7500 0.5000 1
Ni2 Ni 0.7500 0.2500 0.5000 1
B1 B 0.1979 0.1979 0.0000 1
B2 B 0.8021 0.8021 0.0000 1
C1 C 0.1256 0.1256 0.0000 1
C2 C 0.5000 0.5000 0.0000 1
C3 C 0.8744 0.8744 0.0000 1
```

The 10 most intense peaks (15° ≤ 2θ ≤ 90°), in order of rising 2θ:
- 3.250 Å, intensity 100
- 2.745 Å, intensity 79
- 2.611 Å, intensity 36
- 2.566 Å, intensity 47
- 2.531 Å, intensity 41
- 2.327 Å, intensity 29
- 1.846 Å, intensity 37
- 1.605 Å, intensity 28
- 1.532 Å, intensity 27
- 1.499 Å, intensity 34